Entry 1:
For Sc8Bi2Ir, a crystal structure in Alexandria, relaxed with PBE gives the simulated XRD peak list in this record (copper Kα).
No peak broadening, texture or thermal motion is included.

Principal peaks in the range 2θ = 10–80°, by angle:
2θ/deg, Rel. int.
20.3, 66.4
21.2, 61.0
23.6, 100.0
24.1, 93.1
34.8, 89.9
38.0, 63.2
39.2, 77.3
43.9, 39.5

Structural model:
```
11
Lattice="9.2736 -2.3685 0.0000 9.2736 2.3685 0.0000 -1.8281 0.0000 5.9323" Properties=species:S:1:pos:R:3 pbc="T T T"
Sc -0.1708 0.0000 1.7116
Sc 2.6110 0.0000 4.9403
Sc 5.7539 0.0000 2.8022
Sc 7.6057 0.0000 0.2228
Sc 9.1133 0.0000 5.7095
Sc 10.9651 0.0000 3.1301
Sc 14.1080 0.0000 0.9920
Sc 16.8898 0.0000 4.2207
Bi 2.8405 0.0000 1.5601
Bi 13.8785 0.0000 4.3721
Ir 8.3595 0.0000 2.9661
```

Entry 2:
For Sm5Bi2Ir, a crystal structure in Alexandria, relaxed with PBE gives the simulated XRD peak list in this record (copper Kα).
No peak broadening, texture or thermal motion is included.

Principal peaks in the range 2θ = 10–80°, by angle:
2θ/deg, Rel. int.
28.1, 48.7
29.8, 100.0
31.5, 62.2
32.1, 50.0
35.1, 91.7
41.4, 36.2
44.6, 32.3
56.4, 32.2

Structural model:
```
16
Lattice="2.9964 -4.9399 0.0000 2.9964 4.9399 0.0000 0.0000 0.0000 16.5875" Properties=species:S:1:pos:R:3 pbc="T T T"
Sm 2.9964 4.2453 10.0028
Sm 2.9964 4.2453 14.8784
Sm 2.9964 2.4088 4.1469
Sm 2.9964 0.9385 10.5059
Sm 2.9964 0.9385 14.3754
Sm 2.9964 -0.9385 2.2121
Sm 2.9964 -0.9385 6.0816
Sm 2.9964 -2.4088 12.4406
Sm 2.9964 -4.2453 1.7091
Sm 2.9964 -4.2453 6.5847
Bi 2.9964 2.2859 0.9599
Bi 2.9964 2.2859 7.3339
Bi 2.9964 -2.2859 9.2536
Bi 2.9964 -2.2859 15.6277
Ir 2.9964 2.9717 12.4406
Ir 2.9964 -2.9717 4.1469
```

Entry 3:
For SnBi3Ir, a crystal structure in Alexandria, relaxed with PBE gives the simulated XRD peak list in this record (copper Kα).
No peak broadening, texture or thermal motion is included.

Principal peaks in the range 2θ = 10–80°, by angle:
2θ/deg, Rel. int.
20.1, 19.5
28.3, 24.9
32.4, 100.0
32.9, 26.3
33.2, 18.9
38.5, 15.6
38.6, 17.9
39.9, 28.0

Structural model:
```
10
Lattice="5.6013 -4.5148 0.0000 5.6013 4.5148 0.0000 -4.3048 0.0000 5.5137" Properties=species:S:1:pos:R:3 pbc="T T T"
Sn -0.5055 0.0000 1.4527
Sn 7.4034 0.0000 4.0611
Bi -0.6833 1.7881 4.1636
Bi -0.6833 -1.7881 4.1636
Bi 2.1159 0.0000 3.7586
Bi 4.7820 0.0000 1.7551
Bi 7.5812 1.7881 1.3502
Bi 7.5812 -1.7881 1.3502
Ir 2.1849 0.0000 0.6372
Ir 4.7130 0.0000 4.8766
```

Entry 4:
For Tb3BiIr, a crystal structure in Alexandria, relaxed with PBE gives the simulated XRD peak list in this record (copper Kα).
No peak broadening, texture or thermal motion is included.

Principal peaks in the range 2θ = 10–80°, by angle:
2θ/deg, Rel. int.
22.9, 19.2
25.8, 20.0
27.5, 20.4
27.8, 49.7
34.4, 100.0
38.4, 24.8
41.0, 30.8
44.2, 36.3

Structural model:
```
10
Lattice="4.4045 0.0000 0.0000 0.0000 6.9064 0.0000 0.0000 0.0000 9.3770" Properties=species:S:1:pos:R:3 pbc="T T T"
Tb 1.1011 0.0217 1.3926
Tb 1.1011 1.7266 5.5588
Tb 1.1011 3.4315 1.3926
Tb 3.3034 3.4749 7.9844
Tb 3.3034 5.1798 3.8182
Tb 3.3034 6.8847 7.9844
Bi 1.1011 5.1798 6.0408
Bi 3.3034 1.7266 3.3362
Ir 1.1011 1.7266 8.4204
Ir 3.3034 5.1798 0.9566
```

Entry 5:
For TlTcBi2Ir, a crystal structure in Alexandria, relaxed with PBE gives the simulated XRD peak list in this record (copper Kα).
No peak broadening, texture or thermal motion is included.

Principal peaks in the range 2θ = 10–80°, by angle:
2θ/deg, Rel. int.
16.5, 54.2
29.2, 95.3
33.3, 100.0
34.8, 44.8
47.9, 37.0
48.9, 69.3
57.0, 29.9
60.5, 37.1

Structural model:
```
5
Lattice="5.3755 0.0000 0.0000 0.0000 5.3755 0.0000 0.0000 0.0000 5.1607" Properties=species:S:1:pos:R:3 pbc="T T T"
Tl 0.0000 0.0000 0.0000
Tc 2.6877 2.6877 0.0000
Bi 0.0000 2.6877 2.5804
Bi 2.6877 0.0000 2.5804
Ir 0.0000 0.0000 2.5804
```

Entry 6:
For Bi2TeIr, a crystal structure in Alexandria, relaxed with PBE gives the simulated XRD peak list in this record (copper Kα).
No peak broadening, texture or thermal motion is included.

Principal peaks in the range 2θ = 10–80°, by angle:
2θ/deg, Rel. int.
25.8, 27.6
29.2, 42.9
30.4, 17.0
32.1, 100.0
39.8, 34.0
42.0, 32.7
45.7, 39.1
55.3, 19.6

Structural model:
```
16
Lattice="7.1810 0.0000 0.0000 0.0000 5.8465 0.0000 0.0000 0.0000 10.6334" Properties=species:S:1:pos:R:3 pbc="T T T"
Bi 0.5007 1.3387 0.9105
Bi 0.5007 1.5845 4.4062
Bi 3.0898 4.2620 4.4062
Bi 3.0898 4.5078 0.9105
Bi 4.0912 1.3387 9.7229
Bi 4.0912 1.5845 6.2272
Bi 6.6803 4.2620 6.2272
Bi 6.6803 4.5078 9.7229
Te 0.4285 1.4616 7.9750
Te 3.1620 4.3849 7.9750
Te 4.0190 1.4616 2.6583
Te 6.7525 4.3849 2.6583
Ir 1.7952 0.0000 6.3080
Ir 1.7952 2.9233 9.6421
Ir 5.3857 0.0000 4.3254
Ir 5.3857 2.9233 0.9913
```

Entry 7:
For Th3Bi2Ir, a crystal structure in Alexandria, relaxed with PBE gives the simulated XRD peak list in this record (copper Kα).
No peak broadening, texture or thermal motion is included.

Principal peaks in the range 2θ = 10–80°, by angle:
2θ/deg, Rel. int.
28.1, 55.8
28.4, 100.0
39.6, 19.0
39.7, 38.1
41.0, 36.8
41.4, 16.9
50.4, 13.8
50.8, 17.7

Structural model:
```
12
Lattice="3.8301 -6.5382 0.0000 3.8301 6.5382 0.0000 -2.5829 0.0000 7.5586" Properties=species:S:1:pos:R:3 pbc="T T T"
Th -0.1373 2.4060 5.8890
Th 1.0107 0.0000 1.5743
Th -0.1373 -2.4060 5.8890
Th 5.2147 2.4060 1.6696
Th 4.0667 0.0000 5.9843
Th 5.2147 -2.4060 1.6696
Bi -1.2914 0.0000 3.7793
Bi 2.5387 1.9648 3.7793
Bi 3.8301 0.0000 0.0000
Bi 2.5387 -1.9648 3.7793
Ir 3.8301 4.3294 0.0000
Ir 3.8301 -4.3294 0.0000
```

Entry 8:
For Th5Bi2Ir, a crystal structure in Alexandria, relaxed with PBE gives the simulated XRD peak list in this record (copper Kα).
No peak broadening, texture or thermal motion is included.

Principal peaks in the range 2θ = 10–80°, by angle:
2θ/deg, Rel. int.
29.8, 100.0
30.1, 84.7
30.6, 70.0
32.2, 57.0
33.1, 19.8
34.2, 20.1
39.0, 42.9
50.0, 26.6

Structural model:
```
32
Lattice="12.7280 0.0000 0.0000 0.0000 9.2316 0.0000 0.0000 0.0000 8.3133" Properties=species:S:1:pos:R:3 pbc="T T T"
Th 0.0346 2.3079 0.2612
Th 0.7678 0.3613 5.7808
Th 0.7678 4.2546 5.7808
Th 2.5318 6.9237 3.1999
Th 2.5526 2.3079 2.9745
Th 3.8114 6.9237 7.1311
Th 3.8322 2.3079 7.3566
Th 5.5963 4.9771 1.6241
Th 5.5963 8.8704 1.6241
Th 6.3294 6.9237 4.4178
Th 6.3986 2.3079 3.8955
Th 7.1318 0.3613 6.6891
Th 7.1318 4.2546 6.6891
Th 8.8959 6.9237 0.9567
Th 8.9166 2.3079 1.1821
Th 10.1754 6.9237 5.3387
Th 10.1962 2.3079 5.1133
Th 11.9603 4.9771 2.5325
Th 11.9603 8.8704 2.5325
Th 12.6934 6.9237 8.0521
Bi 2.2489 4.7249 0.7048
Bi 2.2489 9.1226 0.7048
Bi 4.1151 0.1091 4.8614
Bi 4.1151 4.5067 4.8614
Bi 8.6129 4.7249 3.4518
Bi 8.6129 9.1226 3.4518
Bi 10.4791 0.1091 7.6085
Bi 10.4791 4.5067 7.6085
Ir 0.2061 6.9237 4.7352
Ir 6.1579 2.3079 0.5786
Ir 6.5702 6.9237 7.7347
Ir 12.5219 2.3079 3.5781
```

Entry 9:
For Tm7Bi2Ir2, a crystal structure in Alexandria, relaxed with PBE gives the simulated XRD peak list in this record (copper Kα).
No peak broadening, texture or thermal motion is included.

Principal peaks in the range 2θ = 10–80°, by angle:
2θ/deg, Rel. int.
30.6, 34.3
32.4, 59.4
33.7, 100.0
34.4, 36.0
36.7, 20.5
38.4, 28.2
48.1, 25.2
59.2, 23.5

Structural model:
```
11
Lattice="-1.8905 8.1002 4.8171 1.8905 -8.1002 4.8171 1.8905 8.1002 -4.8171" Properties=species:S:1:pos:R:3 pbc="T T T"
Tm 0.0000 0.0000 0.0000
Tm 1.8905 2.9842 -1.3167
Tm 1.8905 -2.4818 2.1145
Tm 1.8905 2.4818 2.1145
Tm 1.8905 5.9455 0.6359
Tm 0.0000 5.1160 3.5004
Tm 0.0000 2.1547 5.4530
Bi 0.0000 0.0000 3.1388
Bi 0.0000 8.1002 2.2239
Ir 0.0000 3.8870 0.5804
Ir 0.0000 12.3134 0.5804
```

Entry 10:
For ZnBiIr, a crystal structure in Alexandria, relaxed with PBE gives the simulated XRD peak list in this record (copper Kα).
No peak broadening, texture or thermal motion is included.

Principal peaks in the range 2θ = 10–80°, by angle:
2θ/deg, Rel. int.
10.2, 17.6
27.2, 92.9
32.7, 71.3
40.3, 100.0
44.4, 83.1
59.4, 18.5
61.5, 29.3
78.9, 29.0

Structural model:
```
6
Lattice="4.0848 0.0000 0.0000 -2.0424 3.5375 0.0000 0.0000 0.0000 8.6643" Properties=species:S:1:pos:R:3 pbc="T T T"
Zn 0.0000 2.3583 0.3318
Zn 2.0424 1.1792 8.3325
Bi 0.0000 2.3583 5.7193
Bi 2.0424 1.1792 2.9450
Ir 0.0000 0.0000 1.3790
Ir 0.0000 0.0000 7.2854
```

Entry 11:
For ZnBiIr, a crystal structure in Alexandria, relaxed with PBE gives the simulated XRD peak list in this record (copper Kα).
No peak broadening, texture or thermal motion is included.

Principal peaks in the range 2θ = 10–80°, by angle:
2θ/deg, Rel. int.
31.0, 81.4
33.6, 37.9
38.9, 100.0
40.5, 63.5
44.4, 64.4
60.5, 56.5
63.9, 23.4
64.5, 21.3

Structural model:
```
6
Lattice="-2.0425 2.0425 7.0153 2.0425 -2.0425 7.0153 2.0425 2.0425 -7.0153" Properties=species:S:1:pos:R:3 pbc="T T T"
Zn 2.0425 0.0000 0.0000
Zn 0.0000 2.0425 0.0000
Bi 0.0000 0.0000 2.5265
Bi 0.0000 0.0000 11.5040
Ir 0.0000 0.0000 5.4435
Ir 0.0000 0.0000 8.5870
```

Entry 12:
For K5Bi2, a crystal structure in Alexandria, relaxed with PBE gives the simulated XRD peak list in this record (copper Kα).
No peak broadening, texture or thermal motion is included.

Principal peaks in the range 2θ = 10–80°, by angle:
2θ/deg, Rel. int.
17.7, 100.0
18.2, 32.2
20.6, 42.6
29.0, 92.9
29.6, 71.5
34.5, 41.7
41.9, 27.3
51.8, 29.1

Structural model:
```
14
Lattice="9.9150 -3.0791 0.0000 9.9150 3.0791 0.0000 -1.9012 0.0000 10.4865" Properties=species:S:1:pos:R:3 pbc="T T T"
K 4.6626 1.5347 7.1723
K 8.1690 1.5310 0.5878
K 8.4891 1.5578 7.8649
K 10.7104 1.5310 4.6555
K 12.3156 1.5347 8.5575
K 5.6132 -1.5347 1.9291
K 7.2184 -1.5310 5.8311
K 9.4397 -1.5578 2.6216
K 9.7598 -1.5310 9.8987
K 13.2662 -1.5347 3.3142
Bi 6.9656 1.5472 3.9823
Bi 11.9138 1.5472 1.2610
Bi 6.0150 -1.5472 9.2256
Bi 10.9632 -1.5472 6.5042
```